1.
Computed XRD peak list
Compound: AcPm5Al3
Radiation: Cu Kα (λ = 1.5418 Å)
Structure: a structure optimized by DFT (PBE)
Lines closer than 0.1° are merged.

Top 10 peaks for 2θ = 10–90°, most intense first:
| 2θ (°) | intensity |
| --- | --- |
| 32.03 | 100 |
| 33.10 | 82 |
| 22.87 | 37 |
| 58.46 | 36 |
| 46.73 | 35 |
| 63.57 | 25 |
| 18.93 | 19 |
| 59.13 | 16 |
| 78.55 | 15 |
| 83.08 | 12 |

Structure:
```
AcPm5Al3
1.0
9.374 0.000 0.000
-4.687 8.118 0.000
0.000 0.000 6.961
Ac Pm Al
2 10 6
Cartesian
0.000 0.000 0.000
0.000 0.000 3.480
-1.581 2.738 1.740
-3.106 5.380 5.221
0.000 5.412 0.000
0.000 5.412 3.480
3.162 0.000 1.740
1.581 2.738 5.221
6.212 0.000 5.221
3.106 5.380 1.740
4.687 2.706 0.000
4.687 2.706 3.480
-1.576 2.730 5.221
-3.111 5.388 1.740
3.153 0.000 5.221
1.576 2.730 1.740
6.221 0.000 1.740
3.111 5.388 5.221
```

2.
Computed XRD peak list
Compound: Ac2PmAl4
Radiation: Cu Kα (λ = 1.5418 Å)
Structure: a structure optimized by DFT (PBE)
Lines closer than 0.1° are merged.

Top 10 peaks for 2θ = 10–90°, most intense first:
| 2θ (°) | intensity |
| --- | --- |
| 29.67 | 100 |
| 24.10 | 50 |
| 46.00 | 21 |
| 51.33 | 19 |
| 47.26 | 17 |
| 26.43 | 17 |
| 20.19 | 16 |
| 40.02 | 13 |
| 23.75 | 12 |
| 40.89 | 12 |

Structure:
```
Ac2PmAl4
1.0
4.414 0.000 0.000
0.000 4.506 0.000
0.000 0.000 20.236
Ac Pm Al
4 2 8
Cartesian
0.000 0.000 3.743
0.000 0.000 16.493
2.207 2.253 6.375
2.207 2.253 13.861
0.000 2.253 10.118
2.207 0.000 0.000
0.000 0.000 7.491
0.000 0.000 12.745
0.000 2.253 1.257
0.000 2.253 18.980
2.207 0.000 8.861
2.207 0.000 11.375
2.207 2.253 2.627
2.207 2.253 17.609
```

3.
Computed XRD peak list
Compound: Ac2Al5Pt4
Radiation: Cu Kα (λ = 1.5418 Å)
Structure: a structure optimized by DFT (PBE)
Lines closer than 0.1° are merged.

Top 10 peaks for 2θ = 10–90°, most intense first:
| 2θ (°) | intensity |
| --- | --- |
| 31.32 | 100 |
| 35.39 | 80 |
| 22.77 | 65 |
| 39.06 | 49 |
| 51.66 | 32 |
| 58.38 | 19 |
| 42.51 | 19 |
| 74.36 | 17 |
| 46.52 | 14 |
| 55.72 | 13 |

Structure:
```
Ac2Al5Pt4
1.0
0.000 5.058 7.809
2.858 0.000 7.809
2.858 5.058 0.000
Ac Al Pt
2 5 4
Cartesian
2.858 5.058 2.164
2.858 5.058 13.454
1.429 2.529 0.000
1.429 2.529 3.905
1.429 2.529 7.809
2.858 5.058 7.809
4.287 7.588 11.714
2.858 3.501 5.753
2.858 3.501 9.865
2.858 6.616 5.753
2.858 6.616 9.865
```